No. 1
# Ag4Bi2O5
Simulated powder diffraction line list, λ = 1.5418 Å (Cu Kα). Input: a structure optimized by DFT (PBE).
Kinematic intensities with the Lorentz-polarization factor, no thermal factor.

Structural model:
```
data_Ag4Bi2O5
_chemical_formula_sum 'Ag16 Bi8 O20'
_space_group_name_H-M_alt 'P n n a'
_space_group_IT_number 52
_cell_length_a 14.6049
_cell_length_b 5.9809
_cell_length_c 8.7702
_cell_angle_alpha 90.00
_cell_angle_beta 90.00
_cell_angle_gamma 90.00
loop_
_space_group_symop_operation_xyz
'x,y,z'
'-x,-y,-z'
'-x+1/2,-y,z'
'x+1/2,y,-z'
'x,-y+1/2,-z+1/2'
'-x,y+1/2,z+1/2'
'-x+1/2,y+1/2,-z+1/2'
'x+1/2,-y+1/2,z+1/2'
loop_
_atom_site_label
_atom_site_fract_x
_atom_site_fract_y
_atom_site_fract_z
Ag1 0.0815 0.0094 0.1396
Ag2 0.2477 0.7500 0.2500
Ag3 0.2500 0.0000 0.9328
Bi1 0.1112 0.0099 0.5838
O1 0.0427 0.5437 0.1301
O2 0.1157 0.1305 0.9130
O3 0.2500 0.0000 0.4366
```

Peak list (10 most intense, 15° ≤ 2θ ≤ 90°, low angle first)
| Position (°2θ) | Rel. int. |
| --- | --- |
| 25.92 | 17.2 |
| 29.88 | 29.5 |
| 30.44 | 25.7 |
| 31.25 | 100.0 |
| 32.26 | 15.7 |
| 36.36 | 11.6 |
| 36.93 | 17.4 |
| 38.93 | 13.3 |
| 51.70 | 8.8 |
| 53.94 | 30.4 |

=====

No. 2
# Ag3BiO3
Simulated powder diffraction line list, λ = 1.5418 Å (Cu Kα). Input: a structure optimized by DFT (PBE).
Kinematic intensities with the Lorentz-polarization factor, no thermal factor.

Structural model:
```
data_Ag3BiO3
_chemical_formula_sum 'Ag48 Bi16 O48'
_space_group_name_H-M_alt 'I 41'
_space_group_IT_number 80
_cell_length_a 14.4634
_cell_length_b 14.4634
_cell_length_c 8.9096
_cell_angle_alpha 90.00
_cell_angle_beta 90.00
_cell_angle_gamma 90.00
loop_
_space_group_symop_operation_xyz
'x,y,z'
'-y,x+1/2,z+1/4'
'-x+1/2,-y+1/2,z+1/2'
'y+1/2,-x,z+3/4'
'x+1/2,y+1/2,z+1/2'
'-y+1/2,x,z+3/4'
'-x,-y,z'
'y,-x+1/2,z+1/4'
loop_
_atom_site_label
_atom_site_fract_x
_atom_site_fract_y
_atom_site_fract_z
Ag1 0.0009 0.7283 0.0000
Ag2 0.0240 0.0895 0.8848
Ag3 0.0535 0.9086 0.2169
Ag4 0.0611 0.4164 0.7730
Ag5 0.1477 0.6979 0.2354
Ag6 0.1501 0.2147 0.7528
Bi1 0.0987 0.2803 0.3707
Bi2 0.0989 0.7723 0.6210
O1 0.0344 0.9006 0.6629
O2 0.0361 0.4092 0.3353
O3 0.0459 0.2948 0.6352
O4 0.0467 0.7823 0.3521
O5 0.1282 0.2530 0.1230
O6 0.1280 0.7415 0.8682
```

Peak list (10 most intense, 15° ≤ 2θ ≤ 90°, low angle first)
| Position (°2θ) | Rel. int. |
| --- | --- |
| 27.58 | 20.9 |
| 27.96 | 51.4 |
| 32.54 | 100.0 |
| 33.19 | 71.2 |
| 34.26 | 52.4 |
| 34.89 | 12.1 |
| 52.00 | 25.8 |
| 52.40 | 27.1 |
| 53.33 | 16.1 |
| 57.78 | 23.4 |

=====

No. 3
# ZnAgBiO5
Simulated powder diffraction line list, λ = 1.5418 Å (Cu Kα). Input: a structure optimized by DFT (PBE).
Kinematic intensities with the Lorentz-polarization factor, no thermal factor.

Structural model:
```
data_ZnAgBiO5
_chemical_formula_sum 'Zn4 Ag4 Bi4 O20'
_space_group_name_H-M_alt 'P 1 21/c 1'
_space_group_IT_number 14
_cell_length_a 5.4742
_cell_length_b 10.6622
_cell_length_c 9.1191
_cell_angle_alpha 90.00
_cell_angle_beta 115.86
_cell_angle_gamma 90.00
loop_
_space_group_symop_operation_xyz
'x,y,z'
'-x,-y,-z'
'-x,y+1/2,-z+1/2'
'x,-y+1/2,z+1/2'
loop_
_atom_site_label
_atom_site_fract_x
_atom_site_fract_y
_atom_site_fract_z
Zn1 0.0952 0.0814 0.1658
Ag1 0.2144 0.6183 0.0215
Bi1 0.4840 0.1126 0.8581
O1 0.1335 0.0311 0.6472
O2 0.1933 0.7039 0.4276
O3 0.2545 0.0458 0.9868
O4 0.3075 0.5642 0.7764
O5 0.4187 0.1910 0.3096
```

Peak list (10 most intense, 15° ≤ 2θ ≤ 90°, low angle first)
| Position (°2θ) | Rel. int. |
| --- | --- |
| 18.01 | 19.7 |
| 19.86 | 22.9 |
| 22.89 | 100.0 |
| 23.23 | 18.5 |
| 30.02 | 86.6 |
| 33.11 | 49.5 |
| 33.62 | 28.3 |
| 33.83 | 30.9 |
| 34.18 | 24.3 |
| 43.38 | 21.7 |

=====

No. 4
# AgBiTe3Pb
Simulated powder diffraction line list, λ = 1.5418 Å (Cu Kα). Input: a structure optimized by DFT (PBE).
Kinematic intensities with the Lorentz-polarization factor, no thermal factor.

Structural model:
```
data_AgBiTe3Pb
_chemical_formula_sum 'Ag2 Bi2 Te6 Pb2'
_space_group_name_H-M_alt 'I m m 2'
_space_group_IT_number 44
_cell_length_a 4.4854
_cell_length_b 6.3770
_cell_length_c 13.4027
_cell_angle_alpha 90.00
_cell_angle_beta 90.00
_cell_angle_gamma 90.00
loop_
_space_group_symop_operation_xyz
'x,y,z'
'-x,-y,z'
'-x,y,z'
'x,-y,z'
'x+1/2,y+1/2,z+1/2'
'-x+1/2,-y+1/2,z+1/2'
'-x+1/2,y+1/2,z+1/2'
'x+1/2,-y+1/2,z+1/2'
loop_
_atom_site_label
_atom_site_fract_x
_atom_site_fract_y
_atom_site_fract_z
Ag1 0.0000 0.0000 0.0000
Bi1 0.0000 0.0000 0.6713
Te1 0.0000 0.5000 0.0067
Te2 0.0000 0.5000 0.3405
Te3 0.0000 0.5000 0.6538
Pb1 0.0000 0.0000 0.3269
```

Peak list (10 most intense, 15° ≤ 2θ ≤ 90°, low angle first)
| Position (°2θ) | Rel. int. |
| --- | --- |
| 27.98 | 51.9 |
| 28.19 | 100.0 |
| 40.16 | 97.8 |
| 40.38 | 18.2 |
| 49.70 | 21.7 |
| 49.84 | 19.8 |
| 58.30 | 12.4 |
| 65.57 | 19.0 |
| 65.89 | 17.1 |
| 73.03 | 13.5 |

=====

No. 5
# Ag3Bi7S12
Simulated powder diffraction line list, λ = 1.5418 Å (Cu Kα). Input: a structure optimized by DFT (PBE).
Kinematic intensities with the Lorentz-polarization factor, no thermal factor.

Structural model:
```
data_Ag3Bi7S12
_chemical_formula_sum 'Ag6 Bi14 S24'
_space_group_name_H-M_alt 'C 1 2/m 1'
_space_group_IT_number 12
_cell_length_a 13.4700
_cell_length_b 4.0747
_cell_length_c 20.4513
_cell_angle_alpha 90.00
_cell_angle_beta 102.08
_cell_angle_gamma 90.00
loop_
_space_group_symop_operation_xyz
'x,y,z'
'-x,-y,-z'
'-x,y,-z'
'x,-y,z'
'x+1/2,y+1/2,z'
'-x+1/2,-y+1/2,-z'
'-x+1/2,y+1/2,-z'
'x+1/2,-y+1/2,z'
loop_
_atom_site_label
_atom_site_fract_x
_atom_site_fract_y
_atom_site_fract_z
Ag1 0.0000 0.0000 0.0000
Ag2 0.2009 0.5000 0.4123
Bi1 0.0000 0.0000 0.5000
Bi2 0.0818 0.0000 0.2320
Bi3 0.1136 0.5000 0.6726
Bi4 0.2375 0.0000 0.9112
S1 0.0320 0.0000 0.3684
S2 0.0629 0.5000 0.7970
S3 0.1264 0.0000 0.1114
S4 0.1376 0.5000 0.9710
S5 0.1516 0.5000 0.5345
S6 0.2327 0.5000 0.2897
```

Peak list (10 most intense, 15° ≤ 2θ ≤ 90°, low angle first)
| Position (°2θ) | Rel. int. |
| --- | --- |
| 23.48 | 22.5 |
| 24.51 | 54.4 |
| 25.78 | 71.7 |
| 26.67 | 33.3 |
| 27.34 | 26.2 |
| 29.94 | 42.0 |
| 30.90 | 100.0 |
| 31.42 | 22.6 |
| 44.46 | 34.4 |
| 45.02 | 28.7 |

=====

No. 6
# AgBi3S5
Simulated powder diffraction line list, λ = 1.5418 Å (Cu Kα). Input: a structure optimized by DFT (PBE).
Kinematic intensities with the Lorentz-polarization factor, no thermal factor.

Structural model:
```
data_AgBi3S5
_chemical_formula_sum 'Ag4 Bi12 S20'
_space_group_name_H-M_alt 'C 1 2/m 1'
_space_group_IT_number 12
_cell_length_a 13.6594
_cell_length_b 4.0607
_cell_length_c 16.6966
_cell_angle_alpha 90.00
_cell_angle_beta 95.51
_cell_angle_gamma 90.00
loop_
_space_group_symop_operation_xyz
'x,y,z'
'-x,-y,-z'
'-x,y,-z'
'x,-y,z'
'x+1/2,y+1/2,z'
'-x+1/2,-y+1/2,-z'
'-x+1/2,y+1/2,-z'
'x+1/2,-y+1/2,z'
loop_
_atom_site_label
_atom_site_fract_x
_atom_site_fract_y
_atom_site_fract_z
Ag1 0.0000 0.0000 0.0000
Ag2 0.0000 0.5000 0.5000
Bi1 0.0255 0.0000 0.2830
Bi2 0.2198 0.5000 0.8939
Bi3 0.2365 0.0000 0.6088
S1 0.0759 0.0000 0.8642
S2 0.0892 0.5000 0.6406
S3 0.1464 0.0000 0.4425
S4 0.1512 0.5000 0.0346
S5 0.1538 0.5000 0.2442
```

Peak list (10 most intense, 15° ≤ 2θ ≤ 90°, low angle first)
| Position (°2θ) | Rel. int. |
| --- | --- |
| 16.02 | 38.8 |
| 24.01 | 65.5 |
| 25.54 | 87.5 |
| 26.20 | 95.5 |
| 29.68 | 35.1 |
| 30.81 | 100.0 |
| 31.06 | 36.0 |
| 44.10 | 32.3 |
| 44.63 | 41.4 |
| 52.48 | 35.5 |

=====

No. 7
# AgBiS2
Simulated powder diffraction line list, λ = 1.5418 Å (Cu Kα). Input: a structure optimized by DFT (PBE).
Kinematic intensities with the Lorentz-polarization factor, no thermal factor.

Structural model:
```
data_AgBiS2
_chemical_formula_sum 'Ag3 Bi3 S6'
_space_group_name_H-M_alt 'R -3 m'
_space_group_IT_number 166
_space_group_name_Hall '-R 3 2"'
_cell_length_a 4.0497
_cell_length_b 4.0497
_cell_length_c 19.1091
_cell_angle_alpha 90.00
_cell_angle_beta 90.00
_cell_angle_gamma 120.00
loop_
_atom_site_label
_atom_site_fract_x
_atom_site_fract_y
_atom_site_fract_z
Ag1 0.0000 0.0000 0.0000
Bi1 0.0000 0.0000 0.5000
S1 0.0000 0.0000 0.2526
```

Peak list (10 most intense, 15° ≤ 2θ ≤ 90°, low angle first)
| Position (°2θ) | Rel. int. |
| --- | --- |
| 27.08 | 62.2 |
| 28.02 | 19.2 |
| 31.65 | 100.0 |
| 44.76 | 37.8 |
| 45.97 | 34.8 |
| 53.64 | 20.3 |
| 55.85 | 19.4 |
| 74.25 | 16.8 |
| 76.03 | 17.0 |
| 83.38 | 12.6 |

=====

No. 8
# AgBiS2
Simulated powder diffraction line list, λ = 1.5418 Å (Cu Kα). Input: a structure optimized by DFT (PBE).
Kinematic intensities with the Lorentz-polarization factor, no thermal factor.

Structural model:
```
data_AgBiS2
_chemical_formula_sum 'Ag4 Bi4 S8'
_space_group_name_H-M_alt 'C 1 c 1'
_space_group_IT_number 9
_cell_length_a 7.9564
_cell_length_b 7.9426
_cell_length_c 7.0120
_cell_angle_alpha 90.00
_cell_angle_beta 124.54
_cell_angle_gamma 90.00
loop_
_space_group_symop_operation_xyz
'x,y,z'
'x,-y,z+1/2'
'x+1/2,y+1/2,z'
'x+1/2,-y+1/2,z+1/2'
loop_
_atom_site_label
_atom_site_fract_x
_atom_site_fract_y
_atom_site_fract_z
Ag1 0.0000 0.1293 0.0000
Bi1 0.9999 0.3734 0.4999
S1 0.2346 0.3810 0.9883
S2 0.2441 0.1268 0.5047
```

Peak list (10 most intense, 15° ≤ 2θ ≤ 90°, low angle first)
| Position (°2θ) | Rel. int. |
| --- | --- |
| 17.55 | 19.1 |
| 27.23 | 100.0 |
| 30.96 | 43.0 |
| 31.84 | 79.8 |
| 45.01 | 60.1 |
| 45.65 | 28.8 |
| 52.83 | 17.3 |
| 53.94 | 19.3 |
| 54.00 | 16.1 |
| 56.18 | 30.7 |